The following is a computed powder XRD pattern of Co2PbCl2O3. It was derived from a crystal structure in OQMD, relaxed with PBE+U, using copper Kα.

The 12 most intense peaks (15 to 90 degrees two-theta), in order of rising 2θ:
two_theta	intensity
17.6	60
22.8	87
22.9	100
25.0	86
26.3	47
27.2	69
32.5	71
34.7	57
35.6	65
37.0	47
37.1	54
37.9	48

Atomic structure:
```
Co2PbCl2O3
1.0
5.255 0.000 0.000
0.000 6.558 0.000
-1.959 0.000 7.898
Co Pb Cl O
4 2 4 6
direct
0.000 0.000 0.000
0.000 0.500 0.000
0.268 0.250 0.804
0.732 0.750 0.196
0.405 0.750 0.704
0.595 0.250 0.296
0.160 0.250 0.507
0.300 0.750 0.216
0.700 0.250 0.784
0.840 0.750 0.493
0.190 0.250 0.064
0.202 0.515 0.840
0.202 0.985 0.840
0.798 0.015 0.160
0.798 0.485 0.160
0.810 0.750 0.936
```